Structure and simulated powder diffraction line list of BaIn12Pt4 (a DFT-relaxed cell (PBE, Alexandria); Cu Kα (weighted mean of Kα1 and Kα2)).
Kinematic intensities with the Lorentz-polarization factor, no thermal factor.

Largest 10 diffraction maxima, by angle, 10° ≤ 2θ ≤ 80°:
Position (°2θ)  I/Imax  index
18.24  42  2 0 0
25.91  32  2 2 0
29.03  100  3 0 1
34.50  46  3 1 2
41.52  58  4 0 2
45.70  69  4 2 2
47.67  24  4 3 1
60.17  17  6 2 0
63.44  16  6 2 2
65.04  19  6 1 3

a b c (Å): 9.727 9.727 9.727
angles (deg): 90.00 90.00 90.00
Space group Im-3 (No. 204)
Inequivalent atoms, fractional coordinates:
Ba (0.000, 0.000, 0.000)
In (0.000, 0.341, 0.169)
Pt (0.250, 0.250, 0.250)

Structure and simulated powder diffraction line list of BaIn3Pt2 (a DFT-relaxed cell (PBE, Alexandria); Cu Kα (weighted mean of Kα1 and Kα2)).
Kinematic intensities with the Lorentz-polarization factor, no thermal factor.

Largest 10 diffraction maxima, by angle, 10° ≤ 2θ ≤ 80°:
Position (°2θ)  I/Imax  index
17.43  39  0 0 3
23.85  49  0 2 1
33.06  100  0 2 4
37.61  13  2 0 5
40.61  63  2 2 0
44.50  22  2 2 3
47.95  11  0 2 7
53.33  25  4 0 4
53.61  18  2 0 8
69.12  22  2 4 4

a b c (Å): 8.8861 8.8861 15.2651
angles (deg): 90.00 90.00 120.00
Space group R-3m (No. 166, hexagonal axes)
Inequivalent atoms, fractional coordinates:
Ba (0.0000, 0.0000, 0.2220)
In (0.0151, 0.5076, 0.2632)
Pt (0.0000, 0.0000, 0.0000)
Pt (0.0000, 0.5000, 0.0000)

Please write out number 2 again, unchanged.
Structure and simulated powder diffraction line list of BaIn3Pt2 (a DFT-relaxed cell (PBE, Alexandria); Cu Kα (weighted mean of Kα1 and Kα2)).
Kinematic intensities with the Lorentz-polarization factor, no thermal factor.

Largest 10 diffraction maxima, by angle, 10° ≤ 2θ ≤ 80°:
Position (°2θ)  I/Imax  index
17.43  39  0 0 3
23.85  49  0 2 1
33.06  100  0 2 4
37.61  13  2 0 5
40.61  63  2 2 0
44.50  22  2 2 3
47.95  11  0 2 7
53.33  25  4 0 4
53.61  18  2 0 8
69.12  22  2 4 4

a b c (Å): 8.8861 8.8861 15.2651
angles (deg): 90.00 90.00 120.00
Space group R-3m (No. 166, hexagonal axes)
Inequivalent atoms, fractional coordinates:
Ba (0.0000, 0.0000, 0.2220)
In (0.0151, 0.5076, 0.2632)
Pt (0.0000, 0.0000, 0.0000)
Pt (0.0000, 0.5000, 0.0000)